Entry 1:
# BaNiCl5
Calculated X-ray powder pattern, a wavelength of 1.5418 Å. Input: a crystal structure in Alexandria, relaxed with PBE.

Peak list (10 most intense, 10 to 90 degrees two-theta, by angle)
| two_theta | I/Imax |
| --- | --- |
| 14.7 | 100 |
| 22.8 | 38 |
| 27.2 | 48 |
| 28.8 | 35 |
| 31.0 | 37 |
| 33.8 | 40 |
| 37.0 | 27 |
| 40.6 | 41 |
| 49.1 | 19 |
| 56.1 | 36 |

Atomic structure:
Lattice parameters (Å, degrees): 7.2859 7.2859 7.2859 141.09 126.53 68.07
Element x y z (fractional)
Ba 0.0000 0.0000 0.0000
Ni 0.5000 0.5000 0.0000
Cl 0.1281 0.3707 0.7574
Cl 0.3867 0.6293 0.7574
Cl 0.5000 0.0000 0.5000
Cl 0.6133 0.3707 0.2426
Cl 0.8719 0.6293 0.2426

Entry 2:
# BaNp2Cl11
Calculated X-ray powder pattern, a wavelength of 1.5418 Å. Input: a crystal structure in Alexandria, relaxed with PBE.

Peak list (10 most intense, 10 to 90 degrees two-theta, by angle)
| two_theta | I/Imax |
| --- | --- |
| 12.8 | 34 |
| 16.5 | 44 |
| 17.7 | 100 |
| 19.6 | 37 |
| 23.4 | 19 |
| 33.4 | 31 |
| 34.2 | 34 |
| 35.1 | 23 |
| 36.5 | 27 |
| 45.2 | 20 |

Atomic structure:
Lattice parameters (Å, degrees): 10.9536 10.9536 10.9536 113.56 113.46 101.66
Element x y z (fractional)
Ba 0.2500 0.2500 0.0000
Ba 0.7500 0.7500 0.0000
Np 0.1608 0.6606 0.8214
Np 0.3392 0.1606 0.4999
Np 0.6607 0.8394 0.5001
Np 0.8392 0.3394 0.1786
Cl 0.0000 0.5000 0.5000
Cl 0.0737 0.3594 0.1708
Cl 0.0968 0.9263 0.2855
Cl 0.1408 0.4263 0.8294
Cl 0.1886 0.9029 0.8292
Cl 0.1954 0.3048 0.5002
Cl 0.3046 0.8048 0.1093
Cl 0.3114 0.1406 0.7143
Cl 0.3592 0.1886 0.2855
Cl 0.4032 0.6886 0.8294
Cl 0.4263 0.5971 0.2857
Cl 0.5000 0.0000 0.5000
Cl 0.5737 0.4029 0.7143
Cl 0.5968 0.3114 0.1706
Cl 0.6408 0.8114 0.7145
Cl 0.6886 0.8594 0.2857
Cl 0.6954 0.1952 0.8907
Cl 0.8046 0.6952 0.4998
Cl 0.8114 0.0971 0.1708
Cl 0.8592 0.5737 0.1706
Cl 0.9032 0.0737 0.7145
Cl 0.9263 0.6406 0.8292

Entry 3:
# Ba2NpCl2O4
Calculated X-ray powder pattern, a wavelength of 1.5418 Å. Input: a crystal structure in Alexandria, relaxed with PBE.

Peak list (10 most intense, 10 to 90 degrees two-theta, by angle)
| two_theta | I/Imax |
| --- | --- |
| 16.9 | 81 |
| 27.3 | 70 |
| 28.1 | 100 |
| 32.3 | 26 |
| 33.7 | 31 |
| 39.0 | 40 |
| 43.9 | 24 |
| 48.7 | 43 |
| 50.3 | 21 |
| 58.1 | 20 |

Atomic structure:
Lattice parameters (Å, degrees): 6.3588 6.3588 6.3588 118.11 118.11 93.30
Element x y z (fractional)
Ba 0.2500 0.7500 0.5000
Ba 0.7500 0.2500 0.5000
Np 0.0000 0.0000 0.0000
Cl 0.3081 0.3081 0.0000
Cl 0.6919 0.6919 0.0000
O 0.2111 0.2111 0.4223
O 0.2111 0.7889 0.0000
O 0.7889 0.2111 0.0000
O 0.7889 0.7889 0.5777